Diffraction record for BaMo2Se2O11. The PXRD pattern is calculated, not measured: it uses a DFT-relaxed cell (GGA+U, the Materials Project) and Cu Ka.

Atomic structure:
```
BaMo2Se2O11
1.0
8.052 -4.069 0.000
8.052 4.069 0.000
0.000 0.000 7.990
Ba Mo Se O
2 4 4 22
Cartesian
8.052 2.185 3.995
8.052 -2.185 0.000
6.304 1.905 0.065
9.800 1.905 0.065
6.304 -1.905 4.060
9.800 -1.905 4.060
3.347 0.688 6.853
3.347 -0.688 2.858
12.757 0.688 6.853
12.757 -0.688 2.858
4.263 1.791 7.878
5.793 2.224 2.170
2.284 0.054 0.065
2.284 -0.054 4.060
6.619 2.084 6.345
8.052 2.559 0.682
9.485 2.084 6.345
10.310 2.224 2.170
6.592 0.201 0.310
6.592 -0.201 4.305
4.263 -1.791 3.883
11.841 1.791 7.878
9.512 0.201 0.310
9.512 -0.201 4.305
5.793 -2.224 6.165
6.619 -2.084 2.350
8.052 -2.559 4.677
9.485 -2.084 2.350
13.820 0.054 0.065
13.820 -0.054 4.060
10.310 -2.224 6.165
11.841 -1.791 3.883
```

Largest 10 diffraction maxima, sorted by position, 2θ from 5° to 70°:
Position (°2θ), I (rel.)
21.8, 42
22.3, 65
22.8, 65
24.5, 69
24.9, 41
31.4, 26
31.9, 100
38.9, 38
39.4, 36
56.2, 27